Record 1
This entry pairs a crystal structure of Ho4TlAu with its simulated PXRD pattern. Radiation: Cu Kα (λ = 1.5418 Å). Structure: DFT lattice parameters and positions (GGA-PBE).

Most intense lines, 2θ from 15° to 90°, low angle first:
d (Å)  2θ/deg  intensity
3.457  25.77  15
2.812  31.83  37
2.710  33.06  100
2.695  33.24  45
2.684  33.38  34
2.444  36.77  34
1.980  45.82  17
1.847  49.34  11
1.729  52.97  15
1.456  63.96  24
1.453  64.09  13
1.411  66.22  12

Atomic structure:
```
12
Lattice="5.405 0.000 0.000 0.000 6.915 0.000 -1.023 0.000 8.739" Properties=species:S:1:pos:R:3 pbc="T T T"
Ho 0.915 1.729 0.590
Ho 0.823 5.186 3.373
Ho 0.865 3.504 6.572
Ho 0.865 6.868 6.572
Ho 3.518 0.047 2.167
Ho 3.518 3.410 2.167
Ho 3.560 1.729 5.366
Ho 3.468 5.186 8.149
Tl 0.842 1.729 3.703
Tl 3.541 5.186 5.036
Au 1.700 5.186 0.535
Au 2.683 1.729 8.204
```



Record 2
This entry pairs a crystal structure of HoTm3Au4 with its simulated PXRD pattern. Radiation: Cu Kα (λ = 1.5418 Å). Structure: DFT lattice parameters and positions (GGA-PBE).

Most intense lines, 2θ from 15° to 90°, low angle first:
d (Å)  2θ/deg  intensity
3.562  25.00  2
2.523  35.59  100
2.515  35.70  99
1.781  51.30  36
1.458  63.85  19
1.453  64.09  55
1.261  75.36  12
1.257  75.63  12
1.127  86.28  17
1.125  86.48  17

Atomic structure:
```
8
Lattice="2.515 1.452 8.251 -2.515 1.452 8.251 0.000 -2.904 8.251" Properties=species:S:1:pos:R:3 pbc="T T T"
Ho 0.000 0.000 0.000
Tm 0.000 0.000 6.182
Tm 0.000 0.000 12.377
Tm 0.000 0.000 18.571
Au 0.000 0.000 3.111
Au 0.000 0.000 9.302
Au 0.000 0.000 15.451
Au 0.000 0.000 21.642
```



Copy entry 2 word for word.
This entry pairs a crystal structure of HoTm3Au4 with its simulated PXRD pattern. Radiation: Cu Kα (λ = 1.5418 Å). Structure: DFT lattice parameters and positions (GGA-PBE).

Most intense lines, 2θ from 15° to 90°, low angle first:
d (Å)  2θ/deg  intensity
3.562  25.00  2
2.523  35.59  100
2.515  35.70  99
1.781  51.30  36
1.458  63.85  19
1.453  64.09  55
1.261  75.36  12
1.257  75.63  12
1.127  86.28  17
1.125  86.48  17

Atomic structure:
```
8
Lattice="2.515 1.452 8.251 -2.515 1.452 8.251 0.000 -2.904 8.251" Properties=species:S:1:pos:R:3 pbc="T T T"
Ho 0.000 0.000 0.000
Tm 0.000 0.000 6.182
Tm 0.000 0.000 12.377
Tm 0.000 0.000 18.571
Au 0.000 0.000 3.111
Au 0.000 0.000 9.302
Au 0.000 0.000 15.451
Au 0.000 0.000 21.642
```